# YSbAsBr2
Calculated XRD peak list, Cu Ka. Input: the GGA-PBE geometry in Alexandria.

Structure:
a = 5.3783 Å, b = 5.3783 Å, c = 6.0109 Å
α = 90.00°, β = 90.00°, γ = 90.00°
Fractional positions:
Y  0.0000  0.0000  0.0000
Sb  0.5000  0.5000  0.5000
As  0.0000  0.0000  0.5000
Br  0.0000  0.5000  0.0000
Br  0.5000  0.0000  0.0000

Principal peaks in the range 2θ from 15° to 90°, low angle first:
(1 0 1), 2θ = 22.2°, 4.008 Å, I = 43
(1 1 1), 2θ = 27.8°, 3.214 Å, I = 100
(0 0 2), 2θ = 29.7°, 3.005 Å, I = 58
(2 0 0), 2θ = 33.3°, 2.689 Å, I = 86
(2 0 2), 2θ = 45.2°, 2.004 Å, I = 72
(2 2 0), 2θ = 47.8°, 1.902 Å, I = 30
(3 1 1), 2θ = 56.2°, 1.637 Å, I = 27
(2 2 2), 2θ = 57.3°, 1.607 Å, I = 35
(2 0 4), 2θ = 72.0°, 1.312 Å, I = 18
(4 2 2), 2θ = 87.3°, 1.117 Å, I = 22